This entry pairs a crystal structure of La3PrSm6Ho2 with its simulated X-ray powder pattern. Radiation: CuKα. Structure: a crystal structure in Alexandria, relaxed with PBE.
Neutral-atom scattering factors, no anomalous dispersion.

Structure:
abc: 6.316 10.944 12.118
angles: 90.00 100.06 90.00
Space group C2/m (No. 12)
Inequivalent atoms, fractional coordinates:
La 0.000 0.000 0.000 [2 per cell]
La 0.000 0.333 0.000 [4 per cell]
Pr 0.000 0.500 0.500 [2 per cell]
Sm 0.248 0.000 0.746 [4 per cell]
Sm 0.249 0.333 0.746 [8 per cell]
Ho 0.000 0.167 0.500 [4 per cell]

Largest 8 diffraction maxima, in order of rising 2θ, 2θ from 10° to 80°:
hkl 1 3 1, 29.99°, I 1000
hkl 2 0 2, 34.77°, I 507
hkl 0 6 0, 49.99°, I 362
hkl 1 3 -7, 59.34°, I 71
hkl 4 0 0, 59.41°, I 359
hkl 4 0 -4, 62.30°, I 62
hkl 2 6 2, 62.35°, I 62
hkl 4 0 4, 73.38°, I 57